# HfCrCuS4
Theoretical X-ray powder pattern, Cu Kα, 1.54184 Å. Input: the GGA-PBE geometry in the Materials Project.
Intensities are scaled so that the largest is 100.

Largest 12 diffraction maxima, low angle first, 2θ = 5–70°:
2theta, Rel. int.
15.09, 67.1
17.56, 18.6
24.68, 24.6
29.07, 100.0
29.27, 52.5
35.20, 42.9
35.54, 21.1
46.27, 32.3
46.68, 14.9
50.63, 31.1
50.89, 61.5
63.38, 14.1

Structural model:
Cell lengths 7.1779, 7.1779, 7.1779 Å; angles 119.65, 90.54, 119.72 degrees
Sites, in units of the cell vectors:
Hf: 0.2480 0.2500 0.4980
Hf: 0.7520 0.7500 0.5020
Cr: 0.2407 0.2407 0.0000
Cr: 0.2407 0.7407 0.5000
Cu: 0.6174 0.9877 0.1296
Cu: 0.8581 0.4877 0.8704
S: 0.0039 0.2433 0.7554
S: 0.0039 0.7485 0.2606
S: 0.0101 0.2618 0.2483
S: 0.0135 0.7618 0.7517
S: 0.4676 0.2178 0.7498
S: 0.4680 0.7178 0.2502
S: 0.4879 0.2485 0.2446
S: 0.4879 0.7433 0.7394

=====

# HfCrCuS4
Theoretical X-ray powder pattern, Cu Kα, 1.54184 Å. Input: the GGA-PBE geometry in the Materials Project.
Intensities are scaled so that the largest is 100.

Largest 12 diffraction maxima, low angle first, 2θ = 5–70°:
2theta, Rel. int.
14.29, 100.0
14.62, 27.1
20.52, 64.7
28.99, 51.5
29.16, 34.8
32.61, 76.0
32.92, 34.9
41.45, 84.6
41.70, 45.5
51.49, 20.9
52.12, 37.9
53.50, 23.6

Structural model:
Cell lengths 7.0994, 12.3954, 6.0570 Å; angles 90.00, 90.00, 90.00 degrees
Sites, in units of the cell vectors:
Hf: 0.0000 0.0000 0.0000
Hf: 0.0000 0.5000 0.0000
Hf: 0.5000 0.0000 0.0000
Hf: 0.5000 0.5000 0.0000
Cr: 0.2500 0.0060 0.4967
Cr: 0.2500 0.4940 0.4967
Cr: 0.7500 0.5060 0.5033
Cr: 0.7500 0.9940 0.5033
Cu: 0.2500 0.2500 0.8572
Cu: 0.2500 0.7500 0.5292
Cu: 0.7500 0.2500 0.4708
Cu: 0.7500 0.7500 0.1428
S: 0.0006 0.6153 0.3477
S: 0.0006 0.8847 0.3477
S: 0.2500 0.1189 0.1667
S: 0.2500 0.3811 0.1667
S: 0.2500 0.6133 0.8129
S: 0.2500 0.8867 0.8129
S: 0.4994 0.6153 0.3477
S: 0.4994 0.8847 0.3477
S: 0.5006 0.1153 0.6523
S: 0.5006 0.3847 0.6523
S: 0.7500 0.1133 0.1871
S: 0.7500 0.3867 0.1871
S: 0.7500 0.6189 0.8333
S: 0.7500 0.8811 0.8333
S: 0.9994 0.1153 0.6523
S: 0.9994 0.3847 0.6523

=====

Repeat the first record exactly.
# HfCrCuS4
Theoretical X-ray powder pattern, Cu Kα, 1.54184 Å. Input: the GGA-PBE geometry in the Materials Project.
Intensities are scaled so that the largest is 100.

Largest 12 diffraction maxima, low angle first, 2θ = 5–70°:
2theta, Rel. int.
15.09, 67.1
17.56, 18.6
24.68, 24.6
29.07, 100.0
29.27, 52.5
35.20, 42.9
35.54, 21.1
46.27, 32.3
46.68, 14.9
50.63, 31.1
50.89, 61.5
63.38, 14.1

Structural model:
Cell lengths 7.1779, 7.1779, 7.1779 Å; angles 119.65, 90.54, 119.72 degrees
Sites, in units of the cell vectors:
Hf: 0.2480 0.2500 0.4980
Hf: 0.7520 0.7500 0.5020
Cr: 0.2407 0.2407 0.0000
Cr: 0.2407 0.7407 0.5000
Cu: 0.6174 0.9877 0.1296
Cu: 0.8581 0.4877 0.8704
S: 0.0039 0.2433 0.7554
S: 0.0039 0.7485 0.2606
S: 0.0101 0.2618 0.2483
S: 0.0135 0.7618 0.7517
S: 0.4676 0.2178 0.7498
S: 0.4680 0.7178 0.2502
S: 0.4879 0.2485 0.2446
S: 0.4879 0.7433 0.7394